K2BaPuCl8: calculated XRD peak list (λ = 1.5418 Å (Cu Kα)), based on DFT lattice parameters and positions (PBE).

Peak list (6 most intense, 10 to 90 degrees two-theta, low angle first)
2theta, Rel. int., index
12.0, 100, 0 0 1
18.4, 95, 1 0 -1
22.0, 91, 0 2 1
22.1, 56, 1 0 1
32.5, 90, 1 2 -2
37.0, 56, 1 2 2

Structure:
Cell: 5.5178 9.6740 7.4916 Å, 90.00 100.70 90.00°
Space group P2/m (No. 10)
One atom of each set of equivalent atoms:
1 K 0.0000 0.2477 0.0000 [2 per cell]
2 Ba 0.5000 0.0000 0.5000 [1 per cell]
3 Pu 0.5000 0.5000 0.5000 [1 per cell]
4 Cl 0.0200 0.0000 0.7421 [2 per cell]
5 Cl 0.0720 0.5000 0.2879 [2 per cell]
6 Cl 0.4364 0.2904 0.7159 [4 per cell]

K2BaRuCl8: calculated XRD peak list (λ = 1.5418 Å (Cu Kα)), based on DFT lattice parameters and positions (PBE).

Peak list (6 most intense, 10 to 90 degrees two-theta, low angle first)
2theta, Rel. int., index
12.2, 73, 0 0 1
16.8, 61, 1 0 -1
23.2, 100, 1 0 1
31.7, 87, 1 2 -2
32.6, 32, 2 0 0
39.3, 28, 1 2 2

Structure:
Cell: 5.8105 9.0251 7.6810 Å, 90.00 108.99 90.00°
Space group P2/m (No. 10)
One atom of each set of equivalent atoms:
1 K 0.0000 0.2426 0.0000 [2 per cell]
2 Ba 0.5000 0.5000 0.5000 [1 per cell]
3 Ru 0.5000 0.0000 0.5000 [1 per cell]
4 Cl 0.0327 0.5000 0.7509 [2 per cell]
5 Cl 0.0949 0.0000 0.3208 [2 per cell]
6 Cl 0.4348 0.1898 0.6950 [4 per cell]

KBaScCl6: calculated XRD peak list (λ = 1.5418 Å (Cu Kα)), based on DFT lattice parameters and positions (PBE).

Peak list (6 most intense, 10 to 90 degrees two-theta, low angle first)
2theta, Rel. int., index
13.7, 26, 1 0 0
14.1, 41, 0 0 2
19.7, 76, 1 0 2
27.8, 79, 1 1 2
37.4, 100, 1 1 4
41.8, 35, 3 0 0

Structure:
Cell: 7.4805 7.4805 12.5761 Å, 90.00 90.00 120.00°
Space group P-31c (No. 163)
One atom of each set of equivalent atoms:
1 K 0.0000 0.0000 0.0000 [2 per cell]
2 Ba 0.3333 0.6667 0.2500 [2 per cell]
3 Sc 0.3333 0.6667 0.7500 [2 per cell]
4 Cl 0.0576 0.3924 0.6347 [12 per cell]

BaLaCl5: calculated XRD peak list (λ = 1.5418 Å (Cu Kα)), based on DFT lattice parameters and positions (PBE).

Peak list (6 most intense, 10 to 90 degrees two-theta, low angle first)
2theta, Rel. int., index
13.5, 100, 1 0 1
23.6, 81, 1 1 -1
30.5, 45, 2 1 0
33.6, 41, 2 1 2
40.5, 39, 2 1 -4
41.0, 35, 3 1 -1

Structure:
Cell: 7.6401 4.5596 13.4543 Å, 90.00 91.41 90.00°
Space group P2_1/m (No. 11)
One atom of each set of equivalent atoms:
1 Ba 0.0560 0.2500 0.3440 [2 per cell]
2 La 0.4368 0.7500 0.1491 [2 per cell]
3 Cl 0.0749 0.7500 0.1640 [2 per cell]
4 Cl 0.1545 0.2500 0.5698 [2 per cell]
5 Cl 0.3257 0.2500 0.0222 [2 per cell]
6 Cl 0.3574 0.7500 0.7928 [2 per cell]
7 Cl 0.3672 0.7500 0.3496 [2 per cell]